The following is a theoretical XRD peak list of Tb2Fe17C. It was derived from a GGA-PBE-relaxed structure, using copper Kα.
Peak positions follow from Bragg's law for the DFT cell and can differ from measured ones.

Crystal structure
```
Tb2Fe17C
1.0
4.8100 -4.2964 0.0000
4.8100 4.2964 0.0000
-0.9967 0.0000 6.3471
Tb Fe C
2 17 1
Cartesian
1.1959 0.0000 2.2239
7.4274 0.0000 4.1233
2.4050 2.1482 0.0000
0.6589 0.0000 5.3932
3.5373 2.1193 2.1863
2.7131 1.2450 4.5067
4.8100 2.4518 0.0000
5.0860 2.1193 4.1609
3.7758 0.0000 0.6197
2.4050 -2.1482 0.0000
2.7131 -1.2450 4.5067
4.3117 0.0000 3.1736
5.9102 1.2450 1.8404
4.8475 0.0000 5.7274
3.5373 -2.1193 2.1863
4.8100 -2.4518 0.0000
5.9102 -1.2450 1.8404
5.0860 -2.1193 4.1609
7.9644 0.0000 0.9540
0.0000 0.0000 0.0000
```

Most intense lines, 2θ = 10–90°, by intensity:
2θ = 42.6°, d = 2.124 Å, I 100
2θ = 42.2°, d = 2.140 Å, I 68
2θ = 43.9°, d = 2.061 Å, I 64
2θ = 30.1°, d = 2.972 Å, I 63
2θ = 42.7°, d = 2.118 Å, I 53
2θ = 37.9°, d = 2.376 Å, I 47
2θ = 36.3°, d = 2.477 Å, I 41
2θ = 42.1°, d = 2.148 Å, I 36
2θ = 36.4°, d = 2.468 Å, I 23
2θ = 79.8°, d = 1.202 Å, I 21

The following is a theoretical XRD peak list of TbTiFe11C. It was derived from a GGA-PBE-relaxed structure, using copper Kα.
Peak positions follow from Bragg's law for the DFT cell and can differ from measured ones.

Crystal structure
```
TbTiFe11C
1.0
-2.4362 4.2743 4.2519
2.4362 -4.2743 4.2519
2.4362 4.2743 -4.2519
Tb Ti Fe C
1 1 11 1
Cartesian
0.0000 0.0000 0.0000
0.0000 0.0000 3.1695
1.2152 2.1227 -2.0741
3.6572 2.1227 -2.0741
2.4362 0.0000 1.9497
2.4362 1.8855 0.0769
0.0000 3.0668 0.0593
-1.2210 2.1516 2.1778
1.2210 2.1516 2.1778
0.0000 5.4818 0.0593
0.0000 0.0000 5.5264
0.0000 4.2743 2.4028
0.0000 2.3888 4.3289
2.4362 0.0000 0.0446
```

Most intense lines, 2θ = 10–90°, by intensity:
2θ = 42.5°, d = 2.127 Å, I 100
2θ = 42.8°, d = 2.115 Å, I 60
2θ = 42.3°, d = 2.137 Å, I 23
2θ = 29.7°, d = 3.009 Å, I 20
2θ = 48.0°, d = 1.895 Å, I 18
2θ = 36.5°, d = 2.460 Å, I 17
2θ = 36.7°, d = 2.450 Å, I 16
2θ = 70.3°, d = 1.339 Å, I 16
2θ = 36.9°, d = 2.436 Å, I 14
2θ = 29.8°, d = 3.000 Å, I 13

The following is a theoretical XRD peak list of YTiFe11C. It was derived from a GGA-PBE-relaxed structure, using copper Kα.
Peak positions follow from Bragg's law for the DFT cell and can differ from measured ones.

Crystal structure
```
YTiFe11C
1.0
-2.4268 4.2760 4.2468
2.4268 -4.2760 4.2468
2.4268 4.2760 -4.2468
Y Ti Fe C
1 1 11 1
Cartesian
0.0000 0.0000 0.0000
0.0000 0.0000 3.1700
1.2106 2.1250 -2.0677
3.6429 2.1250 -2.0677
2.4268 1.8842 0.0787
2.4268 0.0000 1.9508
0.0000 3.0673 0.0622
-1.2162 2.1510 2.1791
1.2162 2.1510 2.1791
0.0000 5.4847 0.0622
0.0000 0.0000 5.5269
0.0000 4.2760 2.4027
0.0000 2.3918 4.3255
2.4268 0.0000 0.0488
```

Most intense lines, 2θ = 10–90°, by intensity:
2θ = 42.5°, d = 2.125 Å, I 100
2θ = 42.9°, d = 2.109 Å, I 62
2θ = 48.1°, d = 1.890 Å, I 37
2θ = 42.3°, d = 2.138 Å, I 25
2θ = 47.7°, d = 1.908 Å, I 19
2θ = 36.6°, d = 2.458 Å, I 15
2θ = 70.5°, d = 1.335 Å, I 15
2θ = 36.7°, d = 2.446 Å, I 14
2θ = 37.0°, d = 2.427 Å, I 13
2θ = 29.8°, d = 2.998 Å, I 11

The following is a theoretical XRD peak list of Fe2W2C. It was derived from a GGA-PBE-relaxed structure, using copper Kα.
Peak positions follow from Bragg's law for the DFT cell and can differ from measured ones.

Crystal structure
```
Fe2W2C
1.0
0.0000 5.5691 5.5691
5.5691 0.0000 5.5691
5.5691 5.5691 0.0000
Fe W C
12 12 6
Cartesian
0.0000 0.0000 0.0000
2.7846 2.7846 0.0000
2.7846 0.0000 2.7846
8.9006 5.0222 5.0222
2.2376 2.2376 2.2376
6.1161 6.1161 2.2376
6.1161 2.2376 6.1161
0.0000 2.7846 2.7846
5.0222 8.9006 5.0222
5.0222 5.0222 8.9006
8.9006 8.9006 8.9006
2.2376 6.1161 6.1161
4.1768 4.1768 1.9513
4.1768 1.9513 4.1768
6.4023 4.1768 4.1768
6.9614 6.9614 4.7359
6.9614 4.7359 6.9614
9.1869 6.9614 6.9614
1.9513 4.1768 4.1768
4.1768 6.4023 4.1768
4.1768 4.1768 6.4023
4.7359 6.9614 6.9614
6.9614 9.1869 6.9614
6.9614 6.9614 9.1869
5.5691 2.7846 2.7846
4.1768 4.1768 4.1768
2.7846 5.5691 2.7846
2.7846 2.7846 5.5691
5.5691 5.5691 5.5691
6.9614 6.9614 6.9614
```

Most intense lines, 2θ = 10–90°, by intensity:
2θ = 42.2°, d = 2.144 Å, I 100
2θ = 39.6°, d = 2.274 Å, I 55
2θ = 71.9°, d = 1.313 Å, I 47
2θ = 46.1°, d = 1.969 Å, I 42
2θ = 32.1°, d = 2.785 Å, I 39
2θ = 35.1°, d = 2.555 Å, I 29
2θ = 59.2°, d = 1.560 Å, I 19
2θ = 69.0°, d = 1.361 Å, I 18
2θ = 87.0°, d = 1.119 Å, I 16
2θ = 64.2°, d = 1.450 Å, I 13

The following is a theoretical XRD peak list of Fe3W3C. It was derived from a GGA-PBE-relaxed structure, using copper Kα.
Peak positions follow from Bragg's law for the DFT cell and can differ from measured ones.

Crystal structure
```
Fe3W3C
1.0
0.0000 5.5378 5.5378
5.5378 0.0000 5.5378
5.5378 5.5378 0.0000
Fe W C
12 12 4
Cartesian
0.0000 0.0000 0.0000
2.7689 2.7689 0.0000
2.7689 0.0000 2.7689
8.8350 5.0096 5.0096
2.2407 2.2407 2.2407
6.0661 6.0661 2.2407
6.0661 2.2407 6.0661
0.0000 2.7689 2.7689
5.0096 8.8350 5.0096
5.0096 5.0096 8.8350
8.8350 8.8350 8.8350
2.2407 6.0661 6.0661
4.1534 4.1534 1.9014
4.1534 1.9014 4.1534
6.4053 4.1534 4.1534
6.9223 6.9223 4.6704
6.9223 4.6704 6.9223
9.1742 6.9223 6.9223
1.9014 4.1534 4.1534
4.1534 6.4053 4.1534
4.1534 4.1534 6.4053
4.6704 6.9223 6.9223
6.9223 9.1742 6.9223
6.9223 6.9223 9.1742
5.5378 2.7689 2.7689
2.7689 5.5378 2.7689
2.7689 2.7689 5.5378
5.5378 5.5378 5.5378
```

Most intense lines, 2θ = 10–90°, by intensity:
2θ = 42.4°, d = 2.132 Å, I 100
2θ = 39.9°, d = 2.261 Å, I 58
2θ = 46.4°, d = 1.958 Å, I 51
2θ = 72.4°, d = 1.305 Å, I 45
2θ = 32.3°, d = 2.769 Å, I 43
2θ = 35.3°, d = 2.541 Å, I 29
2θ = 69.5°, d = 1.353 Å, I 19
2θ = 59.6°, d = 1.551 Å, I 18
2θ = 87.7°, d = 1.113 Å, I 16
2θ = 64.6°, d = 1.442 Å, I 16

The following is a theoretical XRD peak list of Fe6W6C. It was derived from a GGA-PBE-relaxed structure, using copper Kα.
Peak positions follow from Bragg's law for the DFT cell and can differ from measured ones.

Crystal structure
```
Fe6W6C
1.0
0.0000 5.4636 5.4636
5.4636 0.0000 5.4636
5.4636 5.4636 0.0000
Fe W C
12 12 2
Cartesian
0.0000 0.0000 0.0000
2.7318 2.7318 0.0000
2.7318 0.0000 2.7318
8.6995 4.9595 4.9595
2.2277 2.2277 2.2277
5.9677 5.9677 2.2277
5.9677 2.2277 5.9677
0.0000 2.7318 2.7318
4.9595 8.6995 4.9595
4.9595 4.9595 8.6995
8.6995 8.6995 8.6995
2.2277 5.9677 5.9677
4.0977 4.0977 1.9306
4.0977 1.9306 4.0977
6.2647 4.0977 4.0977
6.8295 6.8295 4.6624
6.8295 4.6624 6.8295
8.9965 6.8295 6.8295
1.9306 4.0977 4.0977
4.0977 6.2647 4.0977
4.0977 4.0977 6.2647
4.6624 6.8295 6.8295
6.8295 8.9965 6.8295
6.8295 6.8295 8.9965
4.0977 4.0977 4.0977
6.8295 6.8295 6.8295
```

Most intense lines, 2θ = 10–90°, by intensity:
2θ = 43.0°, d = 2.103 Å, I 100
2θ = 40.4°, d = 2.231 Å, I 54
2θ = 73.5°, d = 1.288 Å, I 46
2θ = 32.8°, d = 2.732 Å, I 36
2θ = 47.0°, d = 1.932 Å, I 36
2θ = 35.8°, d = 2.507 Å, I 30
2θ = 70.5°, d = 1.335 Å, I 16
2θ = 60.5°, d = 1.530 Å, I 16
2θ = 89.2°, d = 1.098 Å, I 16
2θ = 65.6°, d = 1.423 Å, I 13

The following is a theoretical XRD peak list of Y2FeC4. It was derived from a GGA-PBE-relaxed structure, using copper Kα.
Peak positions follow from Bragg's law for the DFT cell and can differ from measured ones.

Crystal structure
```
Y2FeC4
1.0
-3.7441 4.8441 2.5219
3.7441 -4.8441 2.5219
3.7441 4.8441 -2.5219
Y Fe C
4 2 8
Cartesian
1.1794 1.4110 0.0000
1.1794 -1.4110 2.5219
2.5647 6.2551 0.0000
2.5647 3.4331 2.5219
3.7441 0.0000 1.2609
0.0000 4.8441 1.2609
4.9826 0.7455 0.0000
6.2653 1.2421 0.0000
2.5212 3.6020 0.0000
1.2386 4.0986 0.0000
2.5055 0.7455 2.5219
1.2228 1.2421 2.5219
-2.5212 3.6020 2.5219
-1.2386 4.0986 2.5219
```

Most intense lines, 2θ = 10–90°, by intensity:
2θ = 30.1°, d = 2.965 Å, I 100
2θ = 31.1°, d = 2.871 Å, I 94
2θ = 28.2°, d = 3.166 Å, I 93
2θ = 37.2°, d = 2.418 Å, I 63
2θ = 59.5°, d = 1.555 Å, I 62
2θ = 52.4°, d = 1.747 Å, I 45
2θ = 43.2°, d = 2.094 Å, I 44
2θ = 38.8°, d = 2.320 Å, I 44
2θ = 35.6°, d = 2.522 Å, I 27
2θ = 56.5°, d = 1.629 Å, I 21